For LaPr2Nb2N6, a PBE-relaxed structure gives the calculated powder diffractogram in this record (Cu Kα (λ = 1.5418 Å)).

Structural model:
a = 10.3494 Å, b = 10.3494 Å, c = 10.3494 Å
α = 157.28°, β = 157.28°, γ = 32.35°
Positions (direct):
La 0.0000 0.0000 0.0000
Pr 0.1790 0.1790 0.0000
Pr 0.8210 0.8210 0.0000
Nb 0.3983 0.3983 0.0000
Nb 0.6017 0.6017 0.0000
N 0.0843 0.5843 0.5000
N 0.3001 0.3001 0.0000
N 0.4157 0.9157 0.5000
N 0.5843 0.0843 0.5000
N 0.6999 0.6999 0.0000
N 0.9157 0.4157 0.5000

Largest 6 diffraction maxima, low angle first, 2θ = 5–70°:
Position (°2θ), I (rel.)
31.0, 64
31.4, 100
41.5, 16
44.4, 33
55.4, 43
56.2, 11


For LaNdOs2N2O2, a PBE-relaxed structure gives the calculated powder diffractogram in this record (Cu Kα (λ = 1.5418 Å)).

Structural model:
a = 3.8560 Å, b = 3.8560 Å, c = 8.0608 Å
α = 90.00°, β = 90.00°, γ = 90.00°
Positions (direct):
La 0.0000 0.0000 0.0000
Nd 0.5000 0.5000 0.6835
Os 0.0000 0.5000 0.3447
Os 0.5000 0.0000 0.3447
N 0.0000 0.0000 0.4582
N 0.5000 0.5000 0.2297
O 0.0000 0.5000 0.8384
O 0.5000 0.0000 0.8384

Largest 6 diffraction maxima, low angle first, 2θ = 5–70°:
Position (°2θ), I (rel.)
11.0, 69
25.6, 46
33.3, 45
34.7, 100
39.9, 82
47.1, 48


For LaPmNdNO2, a PBE-relaxed structure gives the calculated powder diffractogram in this record (Cu Kα (λ = 1.5418 Å)).

Structural model:
a = 3.5821 Å, b = 3.5821 Å, c = 8.7954 Å
α = 90.00°, β = 90.00°, γ = 120.00°
Positions (direct):
La 0.0000 0.0000 0.0000
Pm 0.6667 0.3333 0.3377
Nd 0.3333 0.6667 0.6615
N 0.0000 0.0000 0.4960
O 0.3333 0.6667 0.1703
O 0.6667 0.3333 0.8326

Largest 6 diffraction maxima, low angle first, 2θ = 5–70°:
Position (°2θ), I (rel.)
30.5, 100
35.4, 80
50.9, 55
60.6, 34
60.6, 11
63.6, 14


For La2NiN4, a PBE-relaxed structure gives the calculated powder diffractogram in this record (Cu Kα (λ = 1.5418 Å)).

Structural model:
a = 6.1173 Å, b = 6.1173 Å, c = 3.8909 Å
α = 90.00°, β = 90.00°, γ = 90.00°
Positions (direct):
La 0.0000 0.5000 0.0000
La 0.5000 0.0000 0.0000
Ni 0.0000 0.0000 0.0000
N 0.1920 0.1920 0.1818
N 0.1920 0.8080 0.8182
N 0.8080 0.1920 0.8182
N 0.8080 0.8080 0.1818

Largest 6 diffraction maxima, low angle first, 2θ = 5–70°:
Position (°2θ), I (rel.)
20.5, 77
22.9, 100
29.2, 71
30.9, 61
37.4, 87
48.1, 50


For LaReNO, a PBE-relaxed structure gives the calculated powder diffractogram in this record (Cu Kα (λ = 1.5418 Å)).

Structural model:
a = 4.9101 Å, b = 8.9743 Å, c = 5.0835 Å
α = 90.00°, β = 90.00°, γ = 90.00°
Positions (direct):
La 0.0071 0.1679 0.0000
La 0.4929 0.1679 0.5000
La 0.5071 0.8321 0.0000
La 0.9929 0.8321 0.5000
Re 0.0840 0.5519 0.9962
Re 0.4160 0.5519 0.4962
Re 0.5840 0.4481 0.9962
Re 0.9160 0.4481 0.4962
N 0.2502 0.3914 0.2465
N 0.2498 0.3914 0.7465
N 0.7502 0.6086 0.2465
N 0.7498 0.6086 0.7465
O 0.0103 0.9012 0.0025
O 0.4897 0.9012 0.5025
O 0.5103 0.0988 0.0025
O 0.9897 0.0988 0.5025

Largest 6 diffraction maxima, low angle first, 2θ = 5–70°:
Position (°2θ), I (rel.)
9.9, 100
29.9, 43
32.3, 97
35.3, 51
39.5, 32
57.6, 36


For LaSmNO, a PBE-relaxed structure gives the calculated powder diffractogram in this record (Cu Kα (λ = 1.5418 Å)).

Structural model:
a = 5.1504 Å, b = 4.1442 Å, c = 7.1954 Å
α = 90.00°, β = 90.00°, γ = 90.00°
Positions (direct):
La 0.2500 0.0000 0.1655
La 0.7500 0.0000 0.8345
Sm 0.2500 0.5000 0.6639
Sm 0.7500 0.5000 0.3361
N 0.2500 0.5000 0.3404
N 0.7500 0.5000 0.6596
O 0.2500 0.0000 0.8130
O 0.7500 0.0000 0.1870

Largest 6 diffraction maxima, low angle first, 2θ = 5–70°:
Position (°2θ), I (rel.)
24.8, 44
30.3, 100
34.8, 24
43.6, 37
54.1, 21
57.0, 33


For LaTaN2O, a PBE-relaxed structure gives the calculated powder diffractogram in this record (Cu Kα (λ = 1.5418 Å)).

Structural model:
a = 5.7137 Å, b = 5.7182 Å, c = 9.8669 Å
α = 73.75°, β = 73.68°, γ = 60.73°
Positions (direct):
La 0.0000 0.0000 0.0000
La 0.2302 0.2692 0.2537
La 0.4967 0.4993 0.5058
La 0.7288 0.7685 0.7540
Ta 0.1064 0.1491 0.6296
Ta 0.3551 0.3973 0.8677
Ta 0.6344 0.6208 0.1338
Ta 0.8431 0.8866 0.3806
N 0.0076 0.5220 0.0202
N 0.1629 0.3252 0.7525
N 0.2696 0.7644 0.7678
N 0.5227 0.0152 0.5245
N 0.6598 0.8337 0.2485
N 0.7250 0.2138 0.7309
N 0.7587 0.2761 0.2725
N 0.9843 0.4761 0.4735
O 0.0934 0.9178 0.4870
O 0.2163 0.7306 0.2160
O 0.4598 0.9647 0.9761
O 0.5698 0.4015 0.0059

Largest 6 diffraction maxima, low angle first, 2θ = 5–70°:
Position (°2θ), I (rel.)
30.9, 24
31.3, 100
31.3, 25
44.5, 25
55.3, 21
55.6, 20


For LaTaN2O, a PBE-relaxed structure gives the calculated powder diffractogram in this record (Cu Kα (λ = 1.5418 Å)).

Structural model:
a = 5.7427 Å, b = 5.7427 Å, c = 6.9814 Å
α = 90.00°, β = 90.00°, γ = 120.00°
Positions (direct):
La 0.0000 0.6810 0.3333
La 0.3190 0.3190 0.0000
La 0.6810 0.0000 0.6667
Ta 0.0000 0.6541 0.8333
Ta 0.3459 0.3459 0.5000
Ta 0.6541 0.0000 0.1667
N 0.1261 0.5000 0.6341
N 0.3738 0.8739 0.9674
N 0.5000 0.1261 0.3659
N 0.5000 0.6262 0.3008
N 0.6262 0.5000 0.6992
N 0.8739 0.3738 0.0326
O 0.0000 0.1140 0.3333
O 0.1140 0.0000 0.6667
O 0.8860 0.8860 0.0000

Largest 6 diffraction maxima, low angle first, 2θ = 5–70°:
Position (°2θ), I (rel.)
31.1, 100
31.3, 99
44.7, 50
55.5, 61
55.8, 21
65.3, 15


For LaTaN2O, a PBE-relaxed structure gives the calculated powder diffractogram in this record (Cu Kα (λ = 1.5418 Å)).

Structural model:
a = 5.7423 Å, b = 4.0088 Å, c = 5.7972 Å
α = 90.00°, β = 90.00°, γ = 90.00°
Positions (direct):
La 0.2500 0.0000 0.2243
La 0.7500 0.0000 0.7757
Ta 0.2500 0.5000 0.7328
Ta 0.7500 0.5000 0.2672
N 0.0000 0.5000 0.5000
N 0.2500 0.0000 0.7940
N 0.5000 0.5000 0.5000
N 0.7500 0.0000 0.2060
O 0.0000 0.5000 0.0000
O 0.5000 0.5000 0.0000

Largest 6 diffraction maxima, low angle first, 2θ = 5–70°:
Position (°2θ), I (rel.)
30.8, 24
31.2, 25
31.3, 100
44.4, 25
55.1, 18
55.5, 20


For LaTaN2O, a PBE-relaxed structure gives the calculated powder diffractogram in this record (Cu Kα (λ = 1.5418 Å)).

Structural model:
a = 8.0439 Å, b = 8.1501 Å, c = 11.3782 Å
α = 90.00°, β = 134.93°, γ = 90.00°
Positions (direct):
La 0.0259 0.2436 0.0121
La 0.0259 0.2564 0.5121
La 0.4722 0.7453 0.4853
La 0.4722 0.7547 0.9853
La 0.5278 0.2453 0.0147
La 0.5278 0.2547 0.5147
La 0.9741 0.7436 0.4879
La 0.9741 0.7564 0.9879
Ta 0.0156 0.0059 0.2611
Ta 0.0156 0.4941 0.7611
Ta 0.4927 0.5042 0.2386
Ta 0.4927 0.9958 0.7386
Ta 0.5073 0.0042 0.2614
Ta 0.5073 0.4958 0.7614
Ta 0.9844 0.5059 0.2389
Ta 0.9844 0.9941 0.7389
N 0.0079 0.7498 0.2212
N 0.0079 0.7502 0.7212
N 0.1977 0.5315 0.9994
N 0.1977 0.9685 0.4994
N 0.2881 0.0269 0.2871
N 0.2881 0.4731 0.7871
N 0.4835 0.2474 0.2092
N 0.4835 0.2526 0.7092
N 0.5165 0.7474 0.2908
N 0.5165 0.7526 0.7908
N 0.7119 0.5269 0.2129
N 0.7119 0.9731 0.7129
N 0.8023 0.0315 0.5006
N 0.8023 0.4685 0.0006
N 0.9921 0.2498 0.2788
N 0.9921 0.2502 0.7788
O 0.2156 0.5397 0.4993
O 0.2156 0.9603 0.9993
O 0.3019 0.0346 0.8022
O 0.3019 0.4654 0.3022
O 0.6981 0.5346 0.6978
O 0.6981 0.9654 0.1978
O 0.7844 0.0397 0.0007
O 0.7844 0.4603 0.5007

Largest 6 diffraction maxima, low angle first, 2θ = 5–70°:
Position (°2θ), I (rel.)
31.2, 100
31.4, 49
45.1, 23
55.5, 21
55.8, 39
65.2, 14


For LaTaN2O, a PBE-relaxed structure gives the calculated powder diffractogram in this record (Cu Kα (λ = 1.5418 Å)).

Structural model:
a = 5.6224 Å, b = 5.6224 Å, c = 5.7059 Å
α = 118.97°, β = 118.97°, γ = 90.72°
Positions (direct):
La 0.2483 0.2483 0.4923
La 0.7517 0.7517 0.5077
Ta 0.0000 0.5000 0.0000
Ta 0.5000 0.0000 0.0000
N 0.1785 0.1785 0.9831
N 0.2602 0.7398 0.5000
N 0.7398 0.2602 0.5000
N 0.8215 0.8215 0.0169
O 0.3137 0.6863 0.0000
O 0.6863 0.3137 0.0000

Largest 6 diffraction maxima, low angle first, 2θ = 5–70°:
Position (°2θ), I (rel.)
31.1, 100
31.3, 47
31.4, 47
31.8, 100
43.8, 28
56.1, 41


For LaPa2N4, a PBE-relaxed structure gives the calculated powder diffractogram in this record (Cu Kα (λ = 1.5418 Å)).

Structural model:
a = 6.0446 Å, b = 6.0446 Å, c = 10.9005 Å
α = 90.00°, β = 90.00°, γ = 146.43°
Positions (direct):
La 0.1098 0.8902 0.7500
La 0.8902 0.1098 0.2500
Pa 0.3685 0.6315 0.5705
Pa 0.3685 0.6315 0.9295
Pa 0.6315 0.3685 0.0705
Pa 0.6315 0.3685 0.4295
N 0.0000 0.0000 0.0000
N 0.0000 0.0000 0.5000
N 0.2698 0.7302 0.1030
N 0.2698 0.7302 0.3970
N 0.4584 0.5416 0.7500
N 0.5416 0.4584 0.2500
N 0.7302 0.2698 0.6030
N 0.7302 0.2698 0.8970

Largest 6 diffraction maxima, low angle first, 2θ = 5–70°:
Position (°2θ), I (rel.)
27.9, 33
29.0, 100
30.9, 38
31.4, 39
38.5, 30
53.8, 34